[1]
Structure and simulated powder diffraction line list of HoMgRh (a structure optimized by DFT (GGA-PBE); λ = 1.5418 Å (Cu Kα)).

Top 10 peaks for 5 to 70 degrees two-theta, most intense first:
two_theta  I_rel
35.23  100
32.88  54
33.99  35
40.70  27
44.25  27
44.03  26
16.32  24
27.28  24
56.94  21
49.92  17

Structure:
Unit cell a=7.042 b=4.094 c=8.532 alpha=90.00 beta=90.00 gamma=90.00
Space group Pnma (No. 62)
Asymmetric unit:
Ho  0.039  0.250  0.175 [4 per cell]
Mg  0.136  0.250  0.558 [4 per cell]
Rh  0.248  0.250  0.869 [4 per cell]

[2]
Structure and simulated powder diffraction line list of Ho6MgRh2 (a structure optimized by DFT (GGA-PBE); λ = 1.5418 Å (Cu Kα)).

Top 10 peaks for 5 to 70 degrees two-theta, most intense first:
two_theta  I_rel
31.83  100
34.49  77
33.41  76
35.28  74
39.37  45
35.45  43
60.02  42
13.27  40
38.72  35
25.53  34

Structure:
Unit cell a=9.375 b=9.495 c=10.448 alpha=90.00 beta=90.00 gamma=90.00
Space group Immm (No. 71)
Asymmetric unit:
Ho  0.000  0.200  0.238 [8 per cell]
Ho  0.192  0.500  0.176 [8 per cell]
Ho  0.213  0.318  0.500 [8 per cell]
Mg  0.000  0.000  0.000 [2 per cell]
Mg  0.000  0.000  0.500 [2 per cell]
Rh  0.000  0.327  0.000 [4 per cell]
Rh  0.000  0.500  0.369 [4 per cell]

[3]
Structure and simulated powder diffraction line list of Ho7Mg3Rh2 (a structure optimized by DFT (GGA-PBE); λ = 1.5418 Å (Cu Kα)).

Top 10 peaks for 5 to 70 degrees two-theta, most intense first:
two_theta  I_rel
34.28  100
11.27  47
32.24  47
28.61  39
57.48  28
57.60  26
37.38  21
37.48  21
32.33  14
55.29  14

Structure:
Unit cell a=16.612 b=9.627 c=9.599 alpha=90.00 beta=125.12 gamma=90.00
Space group Cm (No. 8)
Asymmetric unit:
Ho  0.000  0.000  0.000 [2 per cell]
Ho  0.002  0.000  0.390 [2 per cell]
Ho  0.036  0.500  0.236 [2 per cell]
Ho  0.095  0.314  0.976 [4 per cell]
Ho  0.157  0.000  0.851 [2 per cell]
Ho  0.192  0.194  0.389 [4 per cell]
Ho  0.280  0.500  0.969 [2 per cell]
Ho  0.345  0.191  0.848 [4 per cell]
Ho  0.346  0.192  0.231 [4 per cell]
Ho  0.413  0.000  0.603 [2 per cell]
Mg  0.098  0.314  0.611 [4 per cell]
Mg  0.262  0.500  0.618 [2 per cell]
Mg  0.267  0.500  0.302 [2 per cell]
Mg  0.427  0.340  0.619 [4 per cell]
Rh  0.207  0.000  0.618 [2 per cell]
Rh  0.209  0.000  0.187 [2 per cell]
Rh  0.485  0.282  0.175 [4 per cell]